For Pu4BiPbN, a cell relaxed with GGA-PBE gives the calculated powder XRD pattern in this record (a wavelength of 1.5418 Å).
Lines closer than 0.1° are merged.

Most intense lines, 2θ from 10° to 80°, low angle first:
| 2theta | intensity |
| --- | --- |
| 26.48 | 13 |
| 28.64 | 62 |
| 32.56 | 30 |
| 34.39 | 100 |
| 37.80 | 54 |
| 50.73 | 35 |
| 54.52 | 19 |
| 62.72 | 37 |
| 64.96 | 17 |
| 66.07 | 32 |

Crystal structure
Cell: 8.9095 8.9095 6.7355 Å, 90.00 90.00 135.63°
Positions (direct):
Pu: 0.0000 0.5000 0.0000
Pu: 0.0000 0.5000 0.5000
Pu: 0.0938 0.9062 0.7500
Pu: 0.4039 0.5961 0.7500
Pu: 0.5000 0.0000 0.0000
Pu: 0.5000 0.0000 0.5000
Pu: 0.5961 0.4039 0.2500
Pu: 0.9062 0.0938 0.2500
Bi: 0.1056 0.8944 0.2500
Bi: 0.8944 0.1056 0.7500
Pb: 0.3941 0.6059 0.2500
Pb: 0.6059 0.3941 0.7500
N: 0.2546 0.7454 0.7500
N: 0.7454 0.2546 0.2500